Theoretical XRD peak list
Compound: FeGe2O6
Radiation: Cu Ka
Structure: a structure optimized by DFT (PBE+U)
No peak broadening, texture or thermal motion is included.

Cell and atoms:
```
FeGe2O6
1.0
5.023 -4.497 0.000
5.023 4.497 0.000
-1.703 0.000 5.294
Fe Ge O
2 4 12
Direct
0.097 0.903 0.750
0.903 0.097 0.250
0.204 0.385 0.725
0.385 0.204 0.225
0.615 0.796 0.775
0.796 0.615 0.275
0.035 0.179 0.619
0.086 0.631 0.793
0.179 0.035 0.119
0.342 0.386 0.493
0.369 0.914 0.707
0.386 0.342 0.993
0.614 0.658 0.007
0.631 0.086 0.293
0.658 0.614 0.507
0.821 0.965 0.881
0.914 0.369 0.207
0.965 0.821 0.381
```

The 10 most intense peaks (5° ≤ 2θ ≤ 70°), sorted by position:
| two_theta | intensity |
| --- | --- |
| 18.56 | 30 |
| 19.22 | 79 |
| 19.74 | 58 |
| 26.00 | 39 |
| 28.88 | 100 |
| 29.73 | 95 |
| 33.86 | 49 |
| 34.23 | 33 |
| 35.11 | 65 |
| 58.93 | 29 |



Theoretical XRD peak list
Compound: FeGeO3
Radiation: Cu Ka
Structure: a structure optimized by DFT (PBE+U)
No peak broadening, texture or thermal motion is included.

Cell and atoms:
```
FeGeO3
1.0
4.965 -4.636 0.000
4.965 4.636 0.000
-1.097 0.000 5.167
Fe Ge O
4 4 12
Direct
0.092 0.908 0.750
0.271 0.729 0.250
0.729 0.271 0.750
0.908 0.092 0.250
0.208 0.392 0.717
0.392 0.208 0.217
0.608 0.792 0.783
0.792 0.608 0.283
0.029 0.209 0.641
0.143 0.623 0.881
0.209 0.029 0.141
0.293 0.424 0.415
0.377 0.857 0.619
0.424 0.293 0.915
0.576 0.707 0.085
0.623 0.143 0.381
0.707 0.576 0.585
0.791 0.971 0.859
0.857 0.377 0.119
0.971 0.791 0.359
```

The 10 most intense peaks (5° ≤ 2θ ≤ 70°), sorted by position:
| two_theta | intensity |
| --- | --- |
| 26.58 | 42 |
| 29.21 | 97 |
| 29.60 | 98 |
| 30.93 | 39 |
| 33.89 | 97 |
| 34.08 | 100 |
| 34.72 | 75 |
| 55.58 | 40 |
| 60.54 | 43 |
| 62.16 | 50 |



Theoretical XRD peak list
Compound: Fe5Ge3O12
Radiation: Cu Ka
Structure: a structure optimized by DFT (PBE+U)
No peak broadening, texture or thermal motion is included.

Cell and atoms:
```
Fe5Ge3O12
1.0
-3.473 3.473 9.619
3.473 -3.473 9.619
3.473 3.473 -9.619
Fe Ge O
10 6 24
Direct
0.000 0.000 0.000
0.022 0.522 0.500
0.133 0.125 0.508
0.272 0.272 0.000
0.375 0.867 0.992
0.478 0.978 0.500
0.617 0.625 0.492
0.728 0.728 0.000
0.750 0.250 0.500
0.875 0.383 0.008
0.034 0.625 0.909
0.250 0.750 0.500
0.375 0.284 0.409
0.500 0.500 0.000
0.716 0.125 0.091
0.875 0.966 0.591
0.070 0.833 0.702
0.118 0.381 0.798
0.131 0.368 0.298
0.167 0.869 0.237
0.238 0.010 0.653
0.329 0.040 0.258
0.335 0.606 0.847
0.356 0.585 0.347
0.394 0.240 0.728
0.415 0.762 0.772
0.421 0.179 0.211
0.512 0.665 0.272
0.583 0.320 0.202
0.619 0.417 0.737
0.632 0.930 0.763
0.680 0.882 0.263
0.760 0.488 0.153
0.782 0.071 0.742
0.790 0.579 0.758
0.821 0.032 0.242
0.929 0.671 0.711
0.960 0.218 0.289
0.968 0.210 0.789
0.990 0.644 0.228
```

The 10 most intense peaks (5° ≤ 2θ ≤ 70°), sorted by position:
| two_theta | intensity |
| --- | --- |
| 26.48 | 11 |
| 29.12 | 15 |
| 31.78 | 100 |
| 32.02 | 9 |
| 36.59 | 11 |
| 37.39 | 10 |
| 52.71 | 14 |
| 53.32 | 19 |
| 62.88 | 13 |
| 63.96 | 7 |



Theoretical XRD peak list
Compound: Fe2GeO4
Radiation: Cu Ka
Structure: a structure optimized by DFT (PBE+U)
No peak broadening, texture or thermal motion is included.

Cell and atoms:
```
Fe2GeO4
1.0
0.000 4.260 4.260
4.260 0.000 4.260
4.260 4.260 0.000
Fe Ge O
4 2 8
Direct
0.000 0.000 0.000
0.000 0.000 0.500
0.000 0.500 0.000
0.500 0.000 0.000
0.375 0.375 0.375
0.625 0.625 0.625
0.253 0.253 0.253
0.253 0.253 0.741
0.253 0.741 0.253
0.259 0.747 0.747
0.741 0.253 0.253
0.747 0.259 0.747
0.747 0.747 0.259
0.747 0.747 0.747
```

The 8 most intense peaks (5° ≤ 2θ ≤ 70°), sorted by position:
| two_theta | intensity |
| --- | --- |
| 29.66 | 34 |
| 34.93 | 100 |
| 36.53 | 6 |
| 42.44 | 12 |
| 52.63 | 13 |
| 56.09 | 31 |
| 61.57 | 42 |
| 69.82 | 6 |



Theoretical XRD peak list
Compound: FeGe2O6
Radiation: Cu Ka
Structure: a structure optimized by DFT (PBE+U)
No peak broadening, texture or thermal motion is included.

Cell and atoms:
```
FeGe2O6
1.0
10.279 0.000 0.000
0.000 8.846 0.000
-1.339 0.000 5.259
Fe Ge O
4 8 24
Direct
0.231 0.157 0.471
0.231 0.343 0.971
0.769 0.657 0.029
0.769 0.843 0.529
0.055 0.663 0.842
0.055 0.837 0.342
0.487 0.652 0.131
0.487 0.848 0.631
0.513 0.152 0.369
0.513 0.348 0.869
0.945 0.163 0.658
0.945 0.337 0.158
0.112 0.017 0.284
0.112 0.483 0.784
0.121 0.706 0.164
0.121 0.794 0.664
0.125 0.175 0.730
0.125 0.325 0.230
0.333 0.191 0.209
0.333 0.309 0.709
0.403 0.033 0.579
0.403 0.467 0.079
0.423 0.707 0.399
0.423 0.793 0.899
0.577 0.207 0.101
0.577 0.293 0.601
0.597 0.533 0.921
0.597 0.967 0.421
0.667 0.691 0.291
0.667 0.809 0.791
0.875 0.675 0.770
0.875 0.825 0.270
0.879 0.206 0.336
0.879 0.294 0.836
0.888 0.517 0.216
0.888 0.983 0.716
```

The 10 most intense peaks (5° ≤ 2θ ≤ 70°), sorted by position:
| two_theta | intensity |
| --- | --- |
| 13.39 | 26 |
| 17.81 | 44 |
| 19.64 | 100 |
| 20.07 | 50 |
| 28.72 | 65 |
| 29.18 | 85 |
| 34.71 | 54 |
| 34.88 | 37 |
| 38.88 | 26 |
| 39.44 | 30 |



Theoretical XRD peak list
Compound: SmFeGe2O7
Radiation: Cu Ka
Structure: a structure optimized by DFT (PBE+U)
No peak broadening, texture or thermal motion is included.

Cell and atoms:
```
SmFeGe2O7
1.0
7.315 0.000 0.000
0.000 6.667 0.000
-6.051 0.000 11.585
Sm Fe Ge O
4 4 8 28
Direct
0.241 0.149 0.475
0.241 0.351 0.975
0.759 0.649 0.025
0.759 0.851 0.525
0.209 0.096 0.730
0.209 0.404 0.230
0.791 0.596 0.770
0.791 0.904 0.270
0.218 0.659 0.462
0.218 0.841 0.962
0.300 0.585 0.723
0.300 0.915 0.223
0.700 0.085 0.777
0.700 0.415 0.277
0.782 0.159 0.038
0.782 0.341 0.538
0.014 0.661 0.926
0.014 0.839 0.426
0.151 0.694 0.186
0.151 0.806 0.686
0.206 0.046 0.875
0.206 0.454 0.375
0.219 0.113 0.281
0.219 0.387 0.781
0.261 0.001 0.081
0.261 0.499 0.581
0.411 0.671 0.983
0.411 0.829 0.483
0.431 0.122 0.690
0.431 0.378 0.190
0.569 0.622 0.810
0.569 0.878 0.310
0.589 0.171 0.517
0.589 0.329 0.017
0.739 0.501 0.419
0.739 0.999 0.919
0.781 0.613 0.219
0.781 0.887 0.719
0.794 0.546 0.625
0.794 0.954 0.125
0.849 0.194 0.314
0.849 0.306 0.814
0.986 0.161 0.574
0.986 0.339 0.074
```

The 10 most intense peaks (5° ≤ 2θ ≤ 70°), sorted by position:
| two_theta | intensity |
| --- | --- |
| 15.31 | 29 |
| 27.30 | 45 |
| 27.51 | 100 |
| 29.48 | 77 |
| 30.41 | 42 |
| 30.87 | 48 |
| 32.73 | 35 |
| 35.58 | 28 |
| 44.22 | 28 |
| 47.65 | 24 |



Theoretical XRD peak list
Compound: TbFeGe2O7
Radiation: Cu Ka
Structure: a structure optimized by DFT (PBE+U)
No peak broadening, texture or thermal motion is included.

Cell and atoms:
```
TbFeGe2O7
1.0
5.435 -4.319 0.000
5.435 4.319 0.000
-3.127 0.000 6.015
Tb Fe Ge O
2 2 4 14
Direct
0.211 0.789 0.000
0.789 0.211 0.000
0.303 0.697 0.500
0.697 0.303 0.500
0.221 0.221 0.520
0.302 0.302 0.077
0.698 0.698 0.923
0.779 0.779 0.480
0.052 0.724 0.595
0.131 0.131 0.034
0.209 0.567 0.172
0.276 0.948 0.405
0.318 0.318 0.819
0.368 0.368 0.466
0.433 0.791 0.828
0.567 0.209 0.172
0.632 0.632 0.534
0.682 0.682 0.181
0.724 0.052 0.595
0.791 0.433 0.828
0.869 0.869 0.966
0.948 0.276 0.405
```

The 10 most intense peaks (5° ≤ 2θ ≤ 70°), sorted by position:
| two_theta | intensity |
| --- | --- |
| 26.76 | 26 |
| 27.73 | 100 |
| 28.60 | 15 |
| 29.70 | 47 |
| 33.95 | 46 |
| 35.39 | 20 |
| 47.30 | 18 |
| 53.21 | 15 |
| 55.11 | 16 |
| 59.29 | 16 |



Theoretical XRD peak list
Compound: TmFeGe2O7
Radiation: Cu Ka
Structure: a structure optimized by DFT (PBE+U)
No peak broadening, texture or thermal motion is included.

Cell and atoms:
```
TmFeGe2O7
1.0
5.398 -4.361 0.000
5.398 4.361 0.000
-2.939 0.000 5.947
Tm Fe Ge O
2 2 4 14
Direct
0.201 0.799 0.000
0.799 0.201 0.000
0.304 0.696 0.500
0.696 0.304 0.500
0.216 0.216 0.512
0.305 0.305 0.078
0.695 0.695 0.922
0.784 0.784 0.488
0.054 0.726 0.603
0.132 0.132 0.032
0.217 0.571 0.167
0.274 0.946 0.397
0.311 0.311 0.808
0.364 0.364 0.451
0.429 0.783 0.833
0.571 0.217 0.167
0.636 0.636 0.549
0.689 0.689 0.192
0.726 0.054 0.603
0.783 0.429 0.833
0.868 0.868 0.968
0.946 0.274 0.397
```

The 10 most intense peaks (5° ≤ 2θ ≤ 70°), sorted by position:
| two_theta | intensity |
| --- | --- |
| 14.90 | 16 |
| 26.94 | 31 |
| 27.53 | 100 |
| 30.05 | 44 |
| 33.76 | 17 |
| 34.36 | 32 |
| 36.01 | 17 |
| 47.23 | 17 |
| 53.13 | 23 |
| 58.90 | 15 |



Theoretical XRD peak list
Compound: ZnFeGe2O6
Radiation: Cu Ka
Structure: a structure optimized by DFT (PBE+U)
No peak broadening, texture or thermal motion is included.

Cell and atoms:
```
ZnFeGe2O6
1.0
9.844 0.000 0.000
0.000 9.250 0.000
-1.232 0.000 5.369
Zn Fe Ge O
4 4 8 24
Direct
0.247 0.005 0.451
0.247 0.495 0.951
0.753 0.505 0.049
0.753 0.995 0.549
0.245 0.655 0.459
0.245 0.845 0.959
0.755 0.155 0.041
0.755 0.345 0.541
0.057 0.163 0.813
0.057 0.337 0.313
0.455 0.158 0.235
0.455 0.342 0.735
0.545 0.658 0.265
0.545 0.842 0.765
0.943 0.663 0.687
0.943 0.837 0.187
0.109 0.183 0.149
0.109 0.317 0.649
0.129 0.663 0.750
0.129 0.837 0.250
0.140 0.013 0.722
0.140 0.487 0.222
0.362 0.662 0.180
0.362 0.838 0.680
0.375 0.512 0.700
0.375 0.988 0.200
0.382 0.220 0.490
0.382 0.280 0.990
0.618 0.720 0.010
0.618 0.780 0.510
0.625 0.012 0.800
0.625 0.488 0.300
0.638 0.162 0.320
0.638 0.338 0.820
0.860 0.513 0.778
0.860 0.987 0.278
0.871 0.163 0.750
0.871 0.337 0.250
0.891 0.683 0.351
0.891 0.817 0.851
```

The 10 most intense peaks (5° ≤ 2θ ≤ 70°), sorted by position:
| two_theta | intensity |
| --- | --- |
| 25.76 | 35 |
| 26.77 | 42 |
| 28.36 | 100 |
| 29.24 | 36 |
| 29.55 | 73 |
| 33.52 | 46 |
| 34.44 | 60 |
| 35.12 | 38 |
| 54.14 | 38 |
| 64.48 | 32 |